Simulated powder X-ray diffraction pattern
Compound: ZnO2F2
Radiation: copper Kα
Structure: a structure optimized by DFT (GGA-PBE)

The 10 most intense peaks (10 to 90 degrees two-theta), sorted by position:
2θ (°)  d (Å)  I (rel.)  (hkl)
18.1  4.907  100  0 2 2
21.1  4.213  79  0 0 4
29.6  3.018  81  0 4 0
36.6  2.453  30  0 4 4
37.1  2.426  27  1 1 3
42.9  2.108  18  0 0 8
43.0  2.102  35  1 1 5
50.9  1.794  22  1 1 7
53.0  1.728  22  0 4 8
57.6  1.599  18  1 5 5

Structural model:
abc: 2.7592 12.0714 16.8510
angles: 90.00 90.00 90.00
Space group Fddd (No. 70, origin choice 2)
Inequivalent atoms, fractional coordinates:
Zn (0.1250, 0.1250, 0.1250) x8
O (0.1250, 0.3460, 0.1250) x16
F (0.1250, 0.1250, 0.5442) x16

***

Simulated powder X-ray diffraction pattern
Compound: ZnO2F2
Radiation: copper Kα
Structure: a structure optimized by DFT (GGA-PBE)

The 10 most intense peaks (10 to 90 degrees two-theta), sorted by position:
2θ (°)  d (Å)  I (rel.)  (hkl)
14.2  6.229  94  0 0 4
17.8  4.972  100  0 4 0
22.9  3.886  15  0 4 4
28.7  3.115  46  0 0 8
29.2  3.058  12  1 1 1
31.9  2.805  12  1 3 1
34.0  2.640  27  0 4 8
36.8  2.443  20  1 5 1
43.2  2.093  14  1 7 1
60.5  1.529  12  2 2 2

Structural model:
abc: 3.1195 19.8889 24.9167
angles: 90.00 90.00 90.00
Space group Fddd (No. 70, origin choice 2)
Inequivalent atoms, fractional coordinates:
Zn (0.0000, 0.0000, 0.0000) x16
O (0.0103, 0.2506, 0.1451) x32
F (0.0389, 0.3127, 0.7497) x32

***

Simulated powder X-ray diffraction pattern
Compound: ZnO2F2
Radiation: copper Kα
Structure: a structure optimized by DFT (GGA-PBE)

The 10 most intense peaks (10 to 90 degrees two-theta), sorted by position:
2θ (°)  d (Å)  I (rel.)  (hkl)
18.5  4.802  100  2 0 0
19.0  4.678  89  2 0 -2
25.2  3.532  54  0 0 2
27.9  3.195  32  4 0 -2
31.3  2.853  36  1 1 -1
37.2  2.419  37  3 1 -1
37.4  2.407  32  3 1 -2
41.2  2.190  29  2 0 -4
47.1  1.931  24  5 1 -2
47.3  1.920  24  5 1 -3

Structural model:
abc: 12.7847 2.9923 9.4037
angles: 90.00 131.31 90.00
Space group C2/c (No. 15)
Inequivalent atoms, fractional coordinates:
Zn (0.0000, 0.1305, 0.2500) x4
O (0.1393, 0.1210, 0.5330) x8
F (0.1050, 0.3702, 0.7501) x8

***

Simulated powder X-ray diffraction pattern
Compound: ZnO2F2
Radiation: copper Kα
Structure: a structure optimized by DFT (GGA-PBE)

The 10 most intense peaks (10 to 90 degrees two-theta), sorted by position:
2θ (°)  d (Å)  I (rel.)  (hkl)
15.7  5.659  100  0 1 -1
19.6  4.526  58  0 1 1
22.3  3.980  88  0 0 2
27.8  3.212  97  0 2 0
31.6  2.830  32  0 2 -2
34.2  2.623  21  1 0 -2
40.9  2.207  28  1 0 2
41.1  2.195  25  0 3 -1
45.6  1.991  37  1 -2 2
47.1  1.930  15  1 2 -3

Structural model:
abc: 3.0352 6.5960 8.2863
angles: 102.47 99.61 91.94
Space group P-1 (No. 2)
Inequivalent atoms, fractional coordinates:
Zn (0.0991, 0.2741, 0.2505) x2
O (0.0515, 0.8571, 0.2711) x2
O (0.1771, 0.6831, 0.2222) x2
F (0.3283, 0.7142, 0.5919) x2
F (0.4744, 0.7454, 0.9084) x2

***

Simulated powder X-ray diffraction pattern
Compound: ZnO2F2
Radiation: copper Kα
Structure: a structure optimized by DFT (GGA-PBE)

The 10 most intense peaks (10 to 90 degrees two-theta), sorted by position:
2θ (°)  d (Å)  I (rel.)  (hkl)
18.5  4.802  100  0 1 1
19.0  4.678  91  0 1 -1
25.2  3.532  54  0 0 2
27.9  3.195  32  0 2 0
31.4  2.853  36  1 1 0
37.2  2.419  38  1 -1 0
37.4  2.407  32  1 2 0
40.5  2.228  24  0 1 3
41.2  2.190  25  0 1 -3
47.3  1.920  26  1 -2 1

Structural model:
abc: 2.9923 6.5643 7.2208
angles: 85.89 78.13 76.86
Space group P1 (No. 1)
Inequivalent atoms, fractional coordinates:
Zn (0.0000, 0.0000, 0.0000) x1
Zn (0.2655, 0.4975, 0.4979) x1
O (0.1180, 0.4965, 0.7808) x1
O (0.1378, 0.9951, 0.7173) x1
O (0.3954, 0.5019, 0.2149) x1
O (0.8510, 0.0015, 0.2830) x1
F (0.3977, 0.2099, 0.9950) x1
F (0.6010, 0.7903, 0.0056) x1
F (0.6615, 0.7072, 0.4973) x1
F (0.8698, 0.2878, 0.4977) x1

***

Simulated powder X-ray diffraction pattern
Compound: ZrO3F5
Radiation: copper Kα
Structure: a structure optimized by DFT (GGA-PBE)

The 10 most intense peaks (10 to 90 degrees two-theta), sorted by position:
2θ (°)  d (Å)  I (rel.)  (hkl)
10.9  8.097  100  0 4 0
16.1  5.513  28  1 1 1
18.3  4.844  22  2 2 0
22.0  4.048  14  0 8 0
24.1  3.698  15  2 6 0
27.2  3.283  22  0 2 2
29.7  3.008  11  3 1 1
32.0  2.797  11  2 0 2
42.9  2.106  12  2 14 0
46.8  1.941  10  5 1 1

Structural model:
abc: 10.1528 32.3869 6.7043
angles: 90.00 90.00 90.00
Space group Fdd2 (No. 43)
Inequivalent atoms, fractional coordinates:
Zr (0.0646, 0.2514, 0.0000) x16
O (0.0109, 0.3951, 0.9995) x16
O (0.0159, 0.4250, 0.8830) x16
O (0.0755, 0.3946, 0.1697) x16
F (0.0013, 0.4642, 0.2506) x16
F (0.0066, 0.3101, 0.9970) x16
F (0.0169, 0.1864, 0.9690) x16
F (0.1094, 0.2567, 0.6903) x16
F (0.1107, 0.2530, 0.3052) x16

***

Simulated powder X-ray diffraction pattern
Compound: ZrOF4
Radiation: copper Kα
Structure: a structure optimized by DFT (GGA-PBE)

The 10 most intense peaks (10 to 90 degrees two-theta), sorted by position:
2θ (°)  d (Å)  I (rel.)  (hkl)
13.4  6.630  85  1 0 1
21.7  4.090  28  2 0 0
22.0  4.045  100  1 1 2
25.6  3.481  58  2 1 1
26.0  3.425  18  1 0 3
40.6  2.225  21  3 2 1
46.7  1.944  26  3 2 3
47.2  1.924  26  4 0 2
47.6  1.909  39  3 1 4
57.5  1.603  18  5 1 0

Structural model:
abc: 8.1808 8.1808 11.3149
angles: 90.00 90.00 90.00
Space group I-42d (No. 122)
Inequivalent atoms, fractional coordinates:
Zr (0.1418, 0.7500, 0.1250) x8
O (0.0000, 0.0000, 0.1506) x8
F (0.0615, 0.2219, 0.0031) x16
F (0.1112, 0.2248, 0.4759) x16

***

Simulated powder X-ray diffraction pattern
Compound: ZrO2F5
Radiation: copper Kα
Structure: a structure optimized by DFT (GGA-PBE)

The 10 most intense peaks (10 to 90 degrees two-theta), sorted by position:
2θ (°)  d (Å)  I (rel.)  (hkl)
12.4  7.157  100  0 1 0
15.8  5.615  10  0 0 1
16.0  5.537  8  1 0 0
18.7  4.744  15  1 0 -1
22.5  3.954  34  1 1 -1
24.9  3.578  23  0 2 0
25.9  3.446  40  1 0 1
34.3  2.614  10  0 1 2
42.4  2.131  13  1 3 -1
51.1  1.788  9  0 4 0

Structural model:
abc: 5.8224 7.1565 5.9049
angles: 90.00 108.01 90.00
Space group P2/m (No. 10)
Inequivalent atoms, fractional coordinates:
Zr (0.1927, 0.0000, 0.3056) x2
O (0.0932, 0.5000, 0.4803) x2
O (0.5000, 0.4175, 0.0000) x2
F (0.0000, 0.1638, 0.5000) x2
F (0.1709, 0.0000, 0.9346) x2
F (0.2583, 0.2796, 0.2476) x4
F (0.4296, 0.0000, 0.6655) x2

***

Simulated powder X-ray diffraction pattern
Compound: OsF6
Radiation: copper Kα
Structure: a structure optimized by DFT (GGA-PBE)

The 10 most intense peaks (10 to 90 degrees two-theta), sorted by position:
2θ (°)  d (Å)  I (rel.)  (hkl)
19.4  4.564  41  1 0 1
19.9  4.457  88  0 2 0
20.7  4.286  100  2 1 0
21.9  4.062  62  1 1 1
25.1  3.550  17  2 0 1
28.0  3.187  30  1 2 1
32.3  2.775  15  2 2 1
35.4  2.537  20  2 3 0
42.2  2.144  18  4 2 0
44.9  2.020  15  3 3 1

Structural model:
abc: 9.7799 8.9032 5.1608
angles: 90.00 90.00 90.00
Space group Pnma (No. 62)
Inequivalent atoms, fractional coordinates:
Os (0.1270, 0.2500, 0.0908) x4
F (0.0132, 0.2500, 0.7995) x4
F (0.0182, 0.1016, 0.2433) x8
F (0.2357, 0.1015, 0.9390) x8
F (0.2406, 0.2500, 0.3826) x4

***

Simulated powder X-ray diffraction pattern
Compound: OsF5
Radiation: copper Kα
Structure: a structure optimized by DFT (GGA-PBE)

The 10 most intense peaks (10 to 90 degrees two-theta), sorted by position:
2θ (°)  d (Å)  I (rel.)  (hkl)
18.3  4.853  30  1 1 -1
19.2  4.626  71  1 0 -2
20.3  4.367  39  1 1 1
22.2  3.997  100  0 2 2
23.5  3.793  42  1 2 0
28.8  3.095  26  1 2 2
34.6  2.590  19  1 2 -4
34.9  2.573  23  1 0 4
36.5  2.462  29  2 2 0
52.0  1.759  32  1 2 6

Structural model:
abc: 5.6976 10.3025 12.8787
angles: 90.00 100.22 90.00
Space group P2_1/c (No. 14)
Inequivalent atoms, fractional coordinates:
Os (0.0085, 0.2478, 0.0008) x4
Os (0.2982, 0.5053, 0.1993) x4
F (0.0192, 0.5714, 0.2404) x4
F (0.0882, 0.6691, 0.6297) x4
F (0.0995, 0.1547, 0.6415) x4
F (0.1852, 0.5900, 0.0546) x4
F (0.1872, 0.1063, 0.0582) x4
F (0.2648, 0.6877, 0.4503) x4
F (0.2749, 0.1743, 0.4570) x4
F (0.3891, 0.0807, 0.8267) x4
F (0.4431, 0.5654, 0.8549) x4
F (0.4673, 0.6551, 0.2441) x4